# 1
Structure and computed powder diffractogram of Na3Sn4Au (a crystal structure in Alexandria, relaxed with GGA-PBE; Cu Ka).
No peak broadening, texture or thermal motion is included.

Principal peaks in the range 10° ≤ 2θ ≤ 90°, sorted by position:
2θ = 15.8°, I 68.2
2θ = 15.9°, I 100.0
2θ = 25.2°, I 22.8
2θ = 27.5°, I 30.7
2θ = 31.1°, I 39.8
2θ = 31.9°, I 27.7
2θ = 34.8°, I 25.5
2θ = 35.1°, I 35.0
2θ = 36.6°, I 29.4
2θ = 37.6°, I 42.5
2θ = 39.5°, I 68.7
2θ = 44.8°, I 28.5

Cell and atoms:
abc: 6.4051 11.2191 6.5059
angles: 90.00 90.00 90.00
Space group Pmmn (No. 59, origin choice 2)
Symmetry-distinct sites (fractional):
Na: 0.2500 0.0006 0.1681 (multiplicity 4)
Na: 0.2500 0.7500 0.5589 (multiplicity 2)
Sn: 0.0077 0.7500 0.0369 (multiplicity 4)
Sn: 0.2500 0.1068 0.6686 (multiplicity 4)
Au: 0.2500 0.2500 0.3172 (multiplicity 2)



# 2
Structure and computed powder diffractogram of Na3Sn2Au3 (a crystal structure in Alexandria, relaxed with GGA-PBE; Cu Ka).
No peak broadening, texture or thermal motion is included.

Principal peaks in the range 10° ≤ 2θ ≤ 90°, sorted by position:
2θ = 10.8°, I 60.7
2θ = 17.9°, I 79.4
2θ = 18.7°, I 55.4
2θ = 21.4°, I 62.4
2θ = 22.5°, I 51.5
2θ = 24.2°, I 61.3
2θ = 31.4°, I 36.6
2θ = 34.5°, I 75.4
2θ = 37.0°, I 66.9
2θ = 37.5°, I 87.5
2θ = 42.6°, I 100.0
2θ = 45.0°, I 40.1

Cell and atoms:
abc: 7.8948 16.4192 6.3632
angles: 90.00 90.00 90.00
Space group Pnma (No. 62)
Symmetry-distinct sites (fractional):
Na: 0.0109 0.1009 0.1459 (multiplicity 8)
Na: 0.1730 0.2500 0.5436 (multiplicity 4)
Sn: 0.1354 0.6115 0.3560 (multiplicity 8)
Au: 0.1720 0.0328 0.5735 (multiplicity 8)
Au: 0.2265 0.7500 0.5617 (multiplicity 4)



# 3
Structure and computed powder diffractogram of Na2Sn7Au12 (a crystal structure in Alexandria, relaxed with GGA-PBE; Cu Ka).
No peak broadening, texture or thermal motion is included.

Principal peaks in the range 10° ≤ 2θ ≤ 90°, sorted by position:
2θ = 17.0°, I 24.1
2θ = 17.1°, I 19.3
2θ = 31.4°, I 100.0
2θ = 34.6°, I 17.2
2θ = 38.9°, I 14.1
2θ = 39.8°, I 18.1
2θ = 40.1°, I 29.1
2θ = 40.2°, I 14.6
2θ = 43.6°, I 22.7
2θ = 43.7°, I 14.9
2θ = 43.9°, I 17.8
2θ = 47.1°, I 9.7

Cell and atoms:
abc: 5.1800 10.3764 10.4406
angles: 60.26 89.75 89.65
Space group P-1 (No. 2)
Symmetry-distinct sites (fractional):
Na: 0.1479 0.1665 0.1646 (multiplicity 2)
Sn: 0.3536 0.6075 0.7842 (multiplicity 2)
Sn: 0.3542 0.7820 0.1111 (multiplicity 2)
Sn: 0.3584 0.1091 0.6093 (multiplicity 2)
Sn: 0.5000 0.5000 0.5000 (multiplicity 1)
Au: 0.1584 0.7608 0.3674 (multiplicity 2)
Au: 0.1610 0.3743 0.7578 (multiplicity 2)
Au: 0.1637 0.3654 0.3738 (multiplicity 2)
Au: 0.1905 0.5538 0.0581 (multiplicity 2)
Au: 0.1908 0.8872 0.5580 (multiplicity 2)
Au: 0.1926 0.0562 0.8892 (multiplicity 2)



# 4
Structure and computed powder diffractogram of Na8SnAu3 (a crystal structure in Alexandria, relaxed with GGA-PBE; Cu Ka).
No peak broadening, texture or thermal motion is included.

Principal peaks in the range 10° ≤ 2θ ≤ 90°, sorted by position:
2θ = 21.5°, I 100.0
2θ = 24.9°, I 27.4
2θ = 35.5°, I 58.8
2θ = 35.6°, I 11.6
2θ = 41.9°, I 37.0
2θ = 42.0°, I 18.3
2θ = 51.1°, I 8.3
2θ = 56.0°, I 19.9
2θ = 63.7°, I 12.7
2θ = 63.9°, I 8.4
2θ = 68.0°, I 6.8
2θ = 79.2°, I 9.1

Cell and atoms:
abc: 10.0795 10.1250 14.3295
angles: 90.00 90.00 90.00
Space group Fmmm (No. 69)
Symmetry-distinct sites (fractional):
Na: 0.0000 0.2480 0.1257 (multiplicity 16)
Na: 0.2478 0.0000 0.1262 (multiplicity 16)
Sn: 0.0000 0.0000 0.5000 (multiplicity 4)
Au: 0.0000 0.0000 0.0000 (multiplicity 4)
Au: 0.2500 0.2500 0.2500 (multiplicity 8)



# 5
Structure and computed powder diffractogram of Na2Sn3Au4 (a crystal structure in Alexandria, relaxed with GGA-PBE; Cu Ka).
No peak broadening, texture or thermal motion is included.

Principal peaks in the range 10° ≤ 2θ ≤ 90°, sorted by position:
2θ = 15.7°, I 40.6
2θ = 18.8°, I 61.9
2θ = 23.9°, I 58.3
2θ = 31.7°, I 40.6
2θ = 31.9°, I 25.9
2θ = 36.5°, I 100.0
2θ = 39.7°, I 72.6
2θ = 42.2°, I 59.0
2θ = 48.4°, I 20.4
2θ = 66.1°, I 37.1
2θ = 71.3°, I 27.0
2θ = 77.4°, I 21.5

Cell and atoms:
abc: 6.5099 17.0944 7.5260
angles: 90.00 90.00 90.00
Space group Cmce (No. 64)
Symmetry-distinct sites (fractional):
Na: 0.0000 0.0898 0.1023 (multiplicity 8)
Sn: 0.0000 0.0000 0.5000 (multiplicity 4)
Sn: 0.2500 0.2440 0.7500 (multiplicity 8)
Au: 0.0000 0.1661 0.4805 (multiplicity 8)
Au: 0.2500 0.0748 0.7500 (multiplicity 8)



# 6
Structure and computed powder diffractogram of Na3Sn2Au2 (a crystal structure in Alexandria, relaxed with GGA-PBE; Cu Ka).
No peak broadening, texture or thermal motion is included.

Principal peaks in the range 10° ≤ 2θ ≤ 90°, sorted by position:
2θ = 17.4°, I 94.8
2θ = 22.3°, I 65.7
2θ = 26.9°, I 79.3
2θ = 33.5°, I 37.1
2θ = 34.6°, I 33.2
2θ = 35.8°, I 100.0
2θ = 36.5°, I 49.0
2θ = 36.9°, I 31.6
2θ = 42.0°, I 43.5
2θ = 45.9°, I 38.7
2θ = 48.4°, I 37.1
2θ = 67.0°, I 32.6

Cell and atoms:
abc: 3.3613 4.9211 20.4317
angles: 90.00 90.00 90.00
Space group Immm (No. 71)
Symmetry-distinct sites (fractional):
Na: 0.0000 0.0000 0.0000 (multiplicity 2)
Na: 0.0000 0.5000 0.2092 (multiplicity 4)
Sn: 0.0000 0.0000 0.4238 (multiplicity 4)
Au: 0.0000 0.5000 0.3611 (multiplicity 4)



# 7
Structure and computed powder diffractogram of Na8SnAu2 (a crystal structure in Alexandria, relaxed with GGA-PBE; Cu Ka).
No peak broadening, texture or thermal motion is included.

Principal peaks in the range 10° ≤ 2θ ≤ 90°, sorted by position:
2θ = 16.5°, I 45.0
2θ = 18.2°, I 56.9
2θ = 20.6°, I 80.1
2θ = 21.3°, I 71.1
2θ = 22.5°, I 100.0
2θ = 22.7°, I 48.3
2θ = 26.4°, I 42.6
2θ = 31.8°, I 39.3
2θ = 37.3°, I 66.3
2θ = 37.9°, I 40.3
2θ = 43.0°, I 37.5
2θ = 44.5°, I 37.5

Cell and atoms:
abc: 8.9540 13.3283 5.5650
angles: 90.00 105.58 90.00
Space group C2/m (No. 12)
Symmetry-distinct sites (fractional):
Na: 0.0000 0.2389 0.0000 (multiplicity 4)
Na: 0.1305 0.5000 0.8216 (multiplicity 4)
Na: 0.1854 0.1230 0.5774 (multiplicity 8)
Sn: 0.0000 0.0000 0.0000 (multiplicity 2)
Au: 0.0000 0.3204 0.5000 (multiplicity 4)



# 8
Structure and computed powder diffractogram of Na3SnAu2 (a crystal structure in Alexandria, relaxed with GGA-PBE; Cu Ka).
No peak broadening, texture or thermal motion is included.

Principal peaks in the range 10° ≤ 2θ ≤ 90°, sorted by position:
2θ = 11.2°, I 40.3
2θ = 19.9°, I 44.9
2θ = 20.1°, I 37.7
2θ = 22.6°, I 100.0
2θ = 22.8°, I 32.8
2θ = 24.4°, I 67.1
2θ = 34.4°, I 37.3
2θ = 37.5°, I 80.4
2θ = 39.3°, I 39.1
2θ = 39.8°, I 31.4
2θ = 47.1°, I 37.8
2θ = 49.5°, I 28.8

Cell and atoms:
abc: 8.1724 8.5960 9.1623
angles: 90.00 105.59 90.00
Space group P2_1/c (No. 14)
Symmetry-distinct sites (fractional):
Na: 0.1725 0.0880 0.4678 (multiplicity 4)
Na: 0.1826 0.0737 0.1146 (multiplicity 4)
Na: 0.2693 0.7400 0.3247 (multiplicity 4)
Sn: 0.4402 0.1092 0.8618 (multiplicity 4)
Au: 0.0833 0.1050 0.7728 (multiplicity 4)
Au: 0.4923 0.5782 0.1345 (multiplicity 4)